# 1
The following is a computed X-ray diffraction stick pattern of Nd5Y3Se8. It was derived from a DFT-relaxed cell (GGA-PBE, Alexandria), using Cu Kα (weighted mean of Kα1 and Kα2).

Largest 10 diffraction maxima, low angle first, 2θ = 5–70°:
(0 2 1), 2θ = 25.1°, d 3.551, I 2.2; (0 0 6), 2θ = 25.9°, d 3.445, I 2.4; (2 0 2), 2θ = 26.2°, d 3.401, I 6.9; (0 2 4), 2θ = 30.2°, d 2.955, I 100.0; (2 0 8), 2θ = 43.1°, d 2.099, I 37.2; (2 2 0), 2θ = 43.5°, d 2.079, I 36.5; (2 2 6), 2θ = 51.3°, d 1.780, I 2.3; (0 0 12), 2θ = 53.2°, d 1.722, I 6.5; (4 0 4), 2θ = 53.9°, d 1.701, I 19.2; (0 4 8), 2θ = 62.9°, d 1.477, I 11.9

```
data_Nd5Y3Se8
_chemical_formula_sum 'Nd15 Y9 Se24'
_space_group_name_H-M_alt 'R -3 m'
_space_group_IT_number 166
_space_group_name_Hall '-R 3 2"'
_cell_length_a 8.3179
_cell_length_b 8.3179
_cell_length_c 20.6686
_cell_angle_alpha 90.00
_cell_angle_beta 90.00
_cell_angle_gamma 120.00
loop_
_atom_site_label
_atom_site_type_symbol
_atom_site_fract_x
_atom_site_fract_y
_atom_site_fract_z
Nd1 Nd 0.0000 0.0000 0.0000
Nd2 Nd 0.0000 0.0000 0.5000
Nd3 Nd 0.0000 0.5000 0.0000
Y1 Y 0.0000 0.5000 0.5000
Se1 Se 0.0000 0.0000 0.2454
Se2 Se 0.0062 0.5031 0.7532
```

***

# 2
The following is a computed X-ray diffraction stick pattern of TaNiIr. It was derived from a DFT-relaxed cell (GGA-PBE, Alexandria), using Cu Kα (weighted mean of Kα1 and Kα2).

Largest 10 diffraction maxima, low angle first, 2θ = 5–70°:
(1 1 -1), 2θ = 24.8°, d 3.593, I 35.3; (1 1 1), 2θ = 35.5°, d 2.528, I 14.3; (1 3 0), 2θ = 38.7°, d 2.328, I 11.7; (1 3 -1), 2θ = 39.8°, d 2.266, I 100.0; (0 0 2), 2θ = 40.3°, d 2.239, I 54.7; (2 0 0), 2θ = 41.4°, d 2.183, I 50.8; (2 0 -2), 2θ = 45.5°, d 1.995, I 38.8; (1 3 1), 2θ = 47.6°, d 1.911, I 60.0; (1 3 -3), 2θ = 67.1°, d 1.394, I 21.3; (3 3 -1), 2θ = 68.7°, d 1.367, I 19.9

```
data_TaNiIr
_chemical_formula_sum 'Ta4 Ni4 Ir4'
_space_group_name_H-M_alt 'C 1 2/c 1'
_space_group_IT_number 15
_cell_length_a 4.734
_cell_length_b 8.257
_cell_length_c 4.856
_cell_angle_alpha 90.00
_cell_angle_beta 112.74
_cell_angle_gamma 90.00
loop_
_space_group_symop_operation_xyz
'x,y,z'
'-x,-y,-z'
'-x,y,-z+1/2'
'x,-y,z+1/2'
'x+1/2,y+1/2,z'
'-x+1/2,-y+1/2,-z'
'-x+1/2,y+1/2,-z+1/2'
'x+1/2,-y+1/2,z+1/2'
loop_
_atom_site_label
_atom_site_type_symbol
_atom_site_fract_x
_atom_site_fract_y
_atom_site_fract_z
Ta1 Ta 0.000 0.109 0.250
Ni1 Ni 0.000 0.240 0.750
Ir1 Ir 0.000 0.427 0.250
```

***

# 3
The following is a computed X-ray diffraction stick pattern of TiRe4W2. It was derived from a DFT-relaxed cell (GGA-PBE, Alexandria), using Cu Kα (weighted mean of Kα1 and Kα2).

Largest 10 diffraction maxima, low angle first, 2θ = 5–70°:
(1 1 0), 2θ = 20.3°, d 4.370, I 24.2; (2 0 0), 2θ = 28.9°, d 3.091, I 10.5; (0 0 2), 2θ = 29.1°, d 3.064, I 5.2; (1 1 2), 2θ = 35.8°, d 2.509, I 11.4; (2 2 0), 2θ = 41.3°, d 2.186, I 50.7; (2 0 2), 2θ = 41.5°, d 2.176, I 100.0; (3 1 0), 2θ = 46.5°, d 1.955, I 5.7; (3 1 2), 2θ = 55.8°, d 1.648, I 6.6; (4 0 0), 2θ = 59.8°, d 1.545, I 17.1; (0 0 4), 2θ = 60.4°, d 1.532, I 8.3

```
data_TiRe4W2
_chemical_formula_sum 'Ti2 Re8 W4'
_space_group_name_H-M_alt 'I 4/m m m'
_space_group_IT_number 139
_space_group_name_Hall '-I 4 2'
_cell_length_a 6.182
_cell_length_b 6.182
_cell_length_c 6.128
_cell_angle_alpha 90.00
_cell_angle_beta 90.00
_cell_angle_gamma 90.00
loop_
_atom_site_label
_atom_site_type_symbol
_atom_site_fract_x
_atom_site_fract_y
_atom_site_fract_z
Ti1 Ti 0.000 0.000 0.000
Re1 Re 0.250 0.250 0.250
W1 W 0.000 0.500 0.000
```

***

# 4
The following is a computed X-ray diffraction stick pattern of Mo2WSe6. It was derived from a DFT-relaxed cell (GGA-PBE, Alexandria), using Cu Kα (weighted mean of Kα1 and Kα2).

Largest 10 diffraction maxima, low angle first, 2θ = 5–70°:
(0 0 3), 2θ = 12.0°, d 7.375, I 100.0; (1 0 0), 2θ = 31.1°, d 2.878, I 32.2; (1 0 3), 2θ = 33.4°, d 2.681, I 13.0; (1 0 4), 2θ = 35.1°, d 2.553, I 18.2; (1 0 5), 2θ = 37.3°, d 2.413, I 55.7; (1 0 7), 2θ = 42.5°, d 2.128, I 15.5; (1 0 8), 2θ = 45.5°, d 1.994, I 39.4; (1 1 0), 2θ = 55.3°, d 1.662, I 22.7; (1 1 3), 2θ = 56.8°, d 1.621, I 11.2; (2 0 5), 2θ = 68.6°, d 1.368, I 9.1

```
data_Mo2WSe6
_chemical_formula_sum 'Mo2 W1 Se6'
_space_group_name_H-M_alt 'P -6 m 2'
_space_group_IT_number 187
_space_group_name_Hall 'P -6 2'
_cell_length_a 3.3232
_cell_length_b 3.3232
_cell_length_c 22.1262
_cell_angle_alpha 90.00
_cell_angle_beta 90.00
_cell_angle_gamma 120.00
loop_
_atom_site_label
_atom_site_type_symbol
_atom_site_fract_x
_atom_site_fract_y
_atom_site_fract_z
Mo1 Mo 0.0000 0.0000 0.1763
W1 W 0.3333 0.6667 0.5000
Se1 Se 0.0000 0.0000 0.4240
Se2 Se 0.3333 0.6667 0.1007
Se3 Se 0.3333 0.6667 0.2519
```

***

# 5
The following is a computed X-ray diffraction stick pattern of KIn6Ge2. It was derived from a DFT-relaxed cell (GGA-PBE, Alexandria), using Cu Kα (weighted mean of Kα1 and Kα2).

Largest 10 diffraction maxima, low angle first, 2θ = 5–70°:
(0 0 1), 2θ = 7.8°, d 11.266, I 21.4; (1 1 2), 2θ = 31.3°, d 2.856, I 100.0; (0 0 4), 2θ = 31.8°, d 2.817, I 11.9; (1 1 3), 2θ = 36.1°, d 2.485, I 27.4; (2 0 0), 2θ = 38.4°, d 2.343, I 41.2; (0 0 5), 2θ = 40.0°, d 2.253, I 9.3; (2 0 4), 2θ = 50.7°, d 1.801, I 12.2; (2 2 0), 2θ = 55.5°, d 1.657, I 13.7; (2 0 5), 2θ = 56.7°, d 1.624, I 13.2; (3 1 2), 2θ = 65.1°, d 1.433, I 22.9

```
data_KIn6Ge2
_chemical_formula_sum 'K1 In6 Ge2'
_space_group_name_H-M_alt 'P 4/m m m'
_space_group_IT_number 123
_space_group_name_Hall '-P 4 2'
_cell_length_a 4.687
_cell_length_b 4.687
_cell_length_c 11.266
_cell_angle_alpha 90.00
_cell_angle_beta 90.00
_cell_angle_gamma 90.00
loop_
_atom_site_label
_atom_site_type_symbol
_atom_site_fract_x
_atom_site_fract_y
_atom_site_fract_z
K1 K 0.000 0.000 0.000
In1 In 0.000 0.000 0.500
In2 In 0.000 0.500 0.273
In3 In 0.500 0.500 0.500
Ge1 Ge 0.500 0.500 0.115
```